No. 1
Simulated XRD peak list
Compound: Tl2InCoSb
Radiation: Cu Kα, 1.54184 Å
Structure: a GGA-PBE-relaxed structure
No peak broadening, texture or thermal motion is included.

Top 10 peaks for 5° ≤ 2θ ≤ 70°, by angle:
2theta	I/Imax
17.56	161
24.91	46
30.64	1000
35.52	753
39.88	85
43.89	22
51.12	533
54.46	44
60.78	435
63.79	181

Cell and atoms:
a b c (Å): 5.056 5.056 5.050
angles (deg): 90.00 90.00 90.00
Space group P4/mmm (No. 123)
Symmetry-distinct sites (fractional):
Tl 0.000 0.500 0.000
In 0.000 0.000 0.500
Co 0.000 0.000 0.000
Sb 0.500 0.500 0.500

---

No. 2
Simulated XRD peak list
Compound: Sc12InCo5
Radiation: Cu Kα, 1.54184 Å
Structure: a GGA-PBE-relaxed structure
No peak broadening, texture or thermal motion is included.

Top 10 peaks for 5° ≤ 2θ ≤ 70°, by angle:
2theta	I/Imax
19.13	177
20.33	336
24.96	191
35.07	1000
37.11	640
38.27	704
38.56	278
38.78	471
41.34	364
65.72	239

Cell and atoms:
a b c (Å): 8.616 8.735 9.279
angles (deg): 90.00 90.00 90.00
Space group Immm (No. 71)
Symmetry-distinct sites (fractional):
Sc 0.000 0.198 0.185
Sc 0.185 0.221 0.500
Sc 0.195 0.500 0.279
In 0.000 0.500 0.000
Co 0.000 0.000 0.381
Co 0.000 0.500 0.500
Co 0.136 0.000 0.000

---

No. 3
Simulated XRD peak list
Compound: Sm5InCo2
Radiation: Cu Kα, 1.54184 Å
Structure: a GGA-PBE-relaxed structure
No peak broadening, texture or thermal motion is included.

Top 10 peaks for 5° ≤ 2θ ≤ 70°, by angle:
2theta	I/Imax
26.43	393
30.66	397
32.31	1000
32.56	185
34.83	555
36.54	748
41.87	295
54.19	144
56.92	301
66.34	245

Cell and atoms:
a b c (Å): 7.777 7.777 13.754
angles (deg): 90.00 90.00 90.00
Space group I4/mcm (No. 140)
Symmetry-distinct sites (fractional):
Sm 0.000 0.000 0.000
Sm 0.162 0.338 0.131
In 0.000 0.000 0.250
Co 0.132 0.368 0.500

---

No. 4
Simulated XRD peak list
Compound: Sm3InCo
Radiation: Cu Kα, 1.54184 Å
Structure: a GGA-PBE-relaxed structure
No peak broadening, texture or thermal motion is included.

Top 10 peaks for 5° ≤ 2θ ≤ 70°, by angle:
2theta	I/Imax
27.96	226
30.84	522
31.43	434
31.88	1000
32.00	403
32.15	897
42.33	297
49.06	421
55.89	227
59.61	278

Cell and atoms:
a b c (Å): 11.598 7.341 8.593
angles (deg): 90.00 131.27 90.00
Space group Cm (No. 8)
Symmetry-distinct sites (fractional):
Sm 0.000 0.000 0.000
Sm 0.073 0.500 0.705
Sm 0.257 0.260 0.544
Sm 0.332 0.242 0.172
In 0.014 0.500 0.034
In 0.091 0.000 0.701
Co 0.050 0.000 0.364
Co 0.280 0.000 0.362

---

No. 5
Simulated XRD peak list
Compound: Tb4In3Co
Radiation: Cu Kα, 1.54184 Å
Structure: a GGA-PBE-relaxed structure
No peak broadening, texture or thermal motion is included.

Top 10 peaks for 5° ≤ 2θ ≤ 70°, by angle:
2theta	I/Imax
30.39	108
33.85	1000
36.11	493
39.19	60
45.07	67
52.00	172
54.34	93
59.06	120
63.50	323
69.60	92

Cell and atoms:
a b c (Å): 3.517 3.517 16.093
angles (deg): 90.00 90.00 90.00
Space group P4/mmm (No. 123)
Symmetry-distinct sites (fractional):
Tb 0.000 0.000 0.100
Tb 0.000 0.000 0.367
In 0.500 0.500 0.235
In 0.500 0.500 0.500
Co 0.500 0.500 0.000

---

Please write out number 1 again, unchanged.
Simulated XRD peak list
Compound: Tl2InCoSb
Radiation: Cu Kα, 1.54184 Å
Structure: a GGA-PBE-relaxed structure
No peak broadening, texture or thermal motion is included.

Top 10 peaks for 5° ≤ 2θ ≤ 70°, by angle:
2theta	I/Imax
17.56	161
24.91	46
30.64	1000
35.52	753
39.88	85
43.89	22
51.12	533
54.46	44
60.78	435
63.79	181

Cell and atoms:
a b c (Å): 5.056 5.056 5.050
angles (deg): 90.00 90.00 90.00
Space group P4/mmm (No. 123)
Symmetry-distinct sites (fractional):
Tl 0.000 0.500 0.000
In 0.000 0.000 0.500
Co 0.000 0.000 0.000
Sb 0.500 0.500 0.500

---

Repeat the fourth record exactly.
Simulated XRD peak list
Compound: Sm3InCo
Radiation: Cu Kα, 1.54184 Å
Structure: a GGA-PBE-relaxed structure
No peak broadening, texture or thermal motion is included.

Top 10 peaks for 5° ≤ 2θ ≤ 70°, by angle:
2theta	I/Imax
27.96	226
30.84	522
31.43	434
31.88	1000
32.00	403
32.15	897
42.33	297
49.06	421
55.89	227
59.61	278

Cell and atoms:
a b c (Å): 11.598 7.341 8.593
angles (deg): 90.00 131.27 90.00
Space group Cm (No. 8)
Symmetry-distinct sites (fractional):
Sm 0.000 0.000 0.000
Sm 0.073 0.500 0.705
Sm 0.257 0.260 0.544
Sm 0.332 0.242 0.172
In 0.014 0.500 0.034
In 0.091 0.000 0.701
Co 0.050 0.000 0.364
Co 0.280 0.000 0.362